No. 1
# SbTeN
Theoretical powder diffractogram, Cu Ka. Input: a PBE-relaxed structure.
Intensities are scaled so that the largest is 1000.

Principal peaks in the range 2θ = 10–90°, sorted by position:
2θ (°)  I/Imax
18.16  458
29.04  1000
31.98  564
43.55  285
45.86  254
55.20  323

Cell and atoms:
Cell lengths 3.957, 3.957, 9.768 Å; angles 90.00, 90.00, 90.00 degrees
Space group P4/nmm (No. 129, origin choice 2)
Symmetry-distinct sites (fractional):
1 Sb 0.250 0.250 0.105 [2 per cell]
2 Te 0.250 0.250 0.551 [2 per cell]
3 N 0.250 0.750 0.000 [2 per cell]

No. 2
# Th2SbN2
Theoretical powder diffractogram, Cu Ka. Input: a PBE-relaxed structure.
Intensities are scaled so that the largest is 1000.

Principal peaks in the range 2θ = 10–90°, sorted by position:
2θ (°)  I/Imax
29.27  1000
31.16  384
44.65  175
50.68  257
54.29  365
60.70  122

Cell and atoms:
Cell lengths 4.059, 4.059, 13.882 Å; angles 90.00, 90.00, 90.00 degrees
Space group I4/mmm (No. 139)
Symmetry-distinct sites (fractional):
1 Th 0.000 0.000 0.166 [4 per cell]
2 Sb 0.000 0.000 0.500 [2 per cell]
3 N 0.000 0.500 0.250 [4 per cell]

No. 3
# Zn3SbN
Theoretical powder diffractogram, Cu Ka. Input: a PBE-relaxed structure.
Intensities are scaled so that the largest is 1000.

Principal peaks in the range 2θ = 10–90°, sorted by position:
2θ (°)  I/Imax
33.41  242
35.46  937
36.57  1000
40.34  310
42.56  757
60.08  307

Cell and atoms:
Cell lengths 5.882, 8.944, 6.142 Å; angles 90.00, 90.00, 90.00 degrees
Space group Imma (No. 74)
Symmetry-distinct sites (fractional):
1 Zn 0.000 0.250 0.064 [4 per cell]
2 Zn 0.250 0.043 0.750 [8 per cell]
3 Sb 0.000 0.250 0.500 [4 per cell]
4 N 0.000 0.000 0.000 [4 per cell]